Structure and simulated X-ray powder pattern of CrCu2 (a cell relaxed with PBE; copper Kα).
Kinematic intensities with the Lorentz-polarization factor, no thermal factor.

```
6
Lattice="4.2540 0.0000 0.0000 -2.1270 3.6840 0.0000 0.0000 0.0000 5.0798" Properties=species:S:1:pos:R:3 pbc="T T T"
Cr 0.0000 2.4560 1.2699
Cr 2.1270 1.2280 3.8098
Cu 0.0000 0.0000 0.0000
Cu 0.0000 0.0000 2.5399
Cu 0.0000 2.4560 3.8098
Cu 2.1270 1.2280 1.2699
```

The 8 most intense peaks (2θ from 5° to 70°), low angle first:
2θ/deg	I_rel
24.16	1
29.96	2
35.34	4
42.50	100
43.27	88
52.87	1
56.43	6
62.26	27

Structure and simulated X-ray powder pattern of ScTaNi6 (a cell relaxed with PBE; copper Kα).
Kinematic intensities with the Lorentz-polarization factor, no thermal factor.

```
32
Lattice="3.6880 -5.2166 0.0000 3.6880 5.2166 0.0000 0.0000 0.0000 10.4447" Properties=species:S:1:pos:R:3 pbc="T T T"
Sc 0.0000 0.0000 2.5907
Sc 0.0000 0.0000 7.8540
Sc 3.6880 2.6168 0.0000
Sc 3.6880 -2.6168 0.0000
Ta 3.6880 2.6195 5.2223
Ta 3.6880 0.0000 2.5712
Ta 3.6880 0.0000 7.8734
Ta 3.6880 -2.6195 5.2223
Ni 0.0000 0.0000 0.0000
Ni 0.0000 0.0000 5.2223
Ni 1.8707 1.3120 3.9497
Ni 1.8707 1.3120 6.4949
Ni 1.8732 1.2978 1.3381
Ni 1.8732 1.2978 9.1066
Ni 3.6880 2.5846 2.6639
Ni 3.6880 2.5846 7.7808
Ni 1.8732 -1.2978 1.3381
Ni 1.8732 -1.2978 9.1066
Ni 1.8707 -1.3120 3.9497
Ni 1.8707 -1.3120 6.4949
Ni 3.6880 0.0000 0.0000
Ni 3.6880 0.0000 5.2223
Ni 5.5054 1.3120 3.9497
Ni 5.5054 1.3120 6.4949
Ni 5.5029 1.2978 1.3381
Ni 5.5029 1.2978 9.1066
Ni 3.6880 -2.5846 2.6639
Ni 3.6880 -2.5846 7.7808
Ni 5.5029 -1.2978 1.3381
Ni 5.5029 -1.2978 9.1066
Ni 5.5054 -1.3120 3.9497
Ni 5.5054 -1.3120 6.4949
```

The 12 most intense peaks (2θ from 5° to 70°), low angle first:
2θ/deg	I_rel
8.47	14
14.71	9
19.02	5
22.53	6
24.12	8
25.60	4
30.90	4
34.37	6
42.43	100
49.40	47
55.70	3
61.56	3